Entry 1:
Calculated powder diffraction line list
Compound: Li2TiCrO4
Radiation: a wavelength of 1.5418 Å
Structure: a cell relaxed with GGA+U
Kinematic intensities with the Lorentz-polarization factor, no thermal factor.

Largest 10 diffraction maxima, low angle first, 2θ from 5° to 70°:
d_spacing  I/Imax
3.807  100
3.692  98
2.432  27
2.164  59
2.119  59
2.041  53
1.838  23
1.799  20
1.485  29
1.470  30

Structure:
Cell: 5.2299 7.7900 7.9633 Å, 73.35 88.47 74.80°
Sites, in units of the cell vectors:
Li1 0.0000 0.0000 0.0000
Li2 0.0455 0.3089 0.1181
Li3 0.2557 0.2512 0.5018
Li4 0.3080 0.5616 0.6224
Li5 0.4992 0.4996 0.0000
Li6 0.5459 0.8094 0.1179
Li7 0.7559 0.7514 0.5018
Li8 0.8079 0.0621 0.6220
Ti1 0.1834 0.9356 0.3751
Ti2 0.4377 0.1891 0.8706
Ti3 0.6832 0.4363 0.3751
Ti4 0.9376 0.6891 0.8705
Cr1 0.1115 0.6225 0.2438
Cr2 0.3743 0.8747 0.7492
Cr3 0.6114 0.1224 0.2439
Cr4 0.8742 0.3752 0.7490
O1 0.0669 0.8135 0.6262
O2 0.1499 0.1302 0.7590
O3 0.1750 0.4363 0.8668
O4 0.2117 0.7364 0.0025
O5 0.3186 0.0637 0.1268
O6 0.3918 0.3779 0.2572
O7 0.4069 0.6808 0.3654
O8 0.4674 0.9993 0.4695
O9 0.5668 0.3134 0.6262
O10 0.6498 0.6302 0.7592
O11 0.6754 0.9359 0.8668
O12 0.7122 0.2361 0.0030
O13 0.8189 0.5641 0.1267
O14 0.8917 0.8781 0.2573
O15 0.9076 0.1804 0.3647
O16 0.9683 0.4994 0.4695


Entry 2:
Calculated powder diffraction line list
Compound: Li4TiCrO6
Radiation: a wavelength of 1.5418 Å
Structure: a cell relaxed with GGA+U
Kinematic intensities with the Lorentz-polarization factor, no thermal factor.

Largest 10 diffraction maxima, low angle first, 2θ from 5° to 70°:
d_spacing  I/Imax
4.833  100
4.392  19
4.195  36
3.750  24
3.250  15
2.494  34
2.077  77
2.073  38
1.474  29
1.461  19

Structure:
Cell: 5.0676 5.0676 19.4044 Å, 92.47 92.47 120.14°
Sites, in units of the cell vectors:
Li1 0.0000 0.0000 0.0000
Li2 0.0307 0.7063 0.1253
Li3 0.1217 0.1266 0.3751
Li4 0.2148 0.5355 0.6247
Li5 0.2490 0.2475 0.7500
Li6 0.2937 0.9693 0.8747
Li7 0.3740 0.3740 0.1250
Li8 0.4645 0.7852 0.3753
Li9 0.5017 0.4983 0.5000
Li10 0.5388 0.2108 0.6252
Li11 0.6260 0.6260 0.8750
Li12 0.7231 0.0432 0.1247
Li13 0.7525 0.7510 0.2500
Li14 0.7892 0.4612 0.3748
Li15 0.8734 0.8783 0.6249
Li16 0.9568 0.2769 0.8753
Ti1 0.1669 0.8331 0.5000
Ti2 0.3339 0.6661 0.0000
Ti3 0.4142 0.0802 0.2501
Ti4 0.9198 0.5858 0.7499
Cr1 0.0872 0.4186 0.2498
Cr2 0.5814 0.9128 0.7502
Cr3 0.6660 0.3340 0.0000
Cr4 0.8349 0.1651 0.5000
O1 0.0191 0.3737 0.0565
O2 0.0889 0.0837 0.1920
O3 0.1193 0.4727 0.4441
O4 0.1265 0.7706 0.3072
O5 0.1620 0.1629 0.5575
O6 0.2294 0.8735 0.6928
O7 0.2773 0.6296 0.8063
O8 0.3397 0.3360 0.9425
O9 0.3704 0.7227 0.1937
O10 0.3827 0.0260 0.0561
O11 0.4058 0.4135 0.3071
O12 0.4822 0.1250 0.4434
O13 0.5273 0.8807 0.5559
O14 0.5865 0.5942 0.6929
O15 0.6241 0.2610 0.8057
O16 0.6263 0.9809 0.9435
O17 0.6640 0.6603 0.0575
O18 0.7390 0.3759 0.1943
O19 0.7731 0.1264 0.3059
O20 0.8371 0.8380 0.4425
O21 0.8736 0.2269 0.6941
O22 0.8750 0.5178 0.5566
O23 0.9163 0.9111 0.8080
O24 0.9740 0.6173 0.9439


Entry 3:
Calculated powder diffraction line list
Compound: Li2TiCrO4
Radiation: a wavelength of 1.5418 Å
Structure: a cell relaxed with GGA+U
Kinematic intensities with the Lorentz-polarization factor, no thermal factor.

Largest 10 diffraction maxima, low angle first, 2θ from 5° to 70°:
d_spacing  I/Imax
3.749  100
2.431  14
2.366  15
2.157  30
2.081  57
1.819  22
1.594  10
1.498  23
1.497  8
1.471  15

Structure:
Cell: 7.8689 7.8689 9.5794 Å, 98.61 98.61 30.68°
Sites, in units of the cell vectors:
Li1 0.0000 0.0000 0.0000
Li2 0.0620 0.0620 0.3104
Li3 0.2498 0.2498 0.2494
Li4 0.3120 0.3120 0.5588
Li5 0.4997 0.4997 0.4993
Li6 0.5645 0.5645 0.8098
Li7 0.7508 0.7508 0.7468
Li8 0.8140 0.8140 0.0593
Ti1 0.1249 0.1249 0.6231
Ti2 0.3761 0.3761 0.8715
Ti3 0.6259 0.6259 0.1216
Ti4 0.8754 0.8754 0.3741
Cr1 0.1904 0.1904 0.9360
Cr2 0.4376 0.4376 0.1855
Cr3 0.6861 0.6861 0.4323
Cr4 0.9375 0.9375 0.6873
O1 0.0760 0.0760 0.7976
O2 0.1283 0.1283 0.1142
O3 0.1819 0.1819 0.4498
O4 0.2496 0.2496 0.7563
O5 0.3189 0.3189 0.0452
O6 0.3780 0.3780 0.3655
O7 0.4326 0.4326 0.7033
O8 0.4977 0.4977 0.0062
O9 0.5671 0.5671 0.2923
O10 0.6279 0.6279 0.6138
O11 0.6837 0.6837 0.9521
O12 0.7465 0.7465 0.2548
O13 0.8125 0.8125 0.5367
O14 0.8779 0.8779 0.8667
O15 0.9318 0.9318 0.2012
O16 0.9978 0.9978 0.5044